No. 1
Structure and theoretical powder X-ray diffraction pattern of Y4Tm5Pb2 (DFT lattice parameters and positions (GGA-PBE); copper Kα).

Largest 6 diffraction maxima, by intensity, 10 to 90 degrees two-theta:
- 34.2°, I = 100, (1 1 0)
- 31.9°, I = 100, (1 0 13)
- 59.8°, I = 33, (2 1 13)
- 47.5°, I = 33, (0 2 13)
- 61.2°, I = 19, (3 0 0)
- 33.5°, I = 16, (0 1 14)

Crystal structure
Cell lengths 5.2473, 5.2473, 46.3020 Å; angles 90.00, 90.00, 120.00 degrees
Space group R-3m (No. 166, hexagonal axes)
Symmetry-distinct sites (fractional):
Y (0.0000, 0.0000, 0.0715)
Y (0.0000, 0.0000, 0.2254)
Tm (0.0000, 0.0000, 0.0000)
Tm (0.0000, 0.0000, 0.1478)
Tm (0.0000, 0.0000, 0.3035)
Pb (0.0000, 0.0000, 0.3786)

No. 2
Structure and theoretical powder X-ray diffraction pattern of SrDy5Tl3 (DFT lattice parameters and positions (GGA-PBE); copper Kα).

Largest 6 diffraction maxima, by intensity, 10 to 90 degrees two-theta:
- 32.9°, I = 100, (3 0 0)
- 32.2°, I = 86, (1 1 2)
- 58.3°, I = 32, (4 1 2)
- 46.7°, I = 31, (2 2 2)
- 64.0°, I = 30, (3 0 4)
- 42.3°, I = 20, (3 0 2)

Crystal structure
Cell lengths 9.4383, 9.4383, 6.8882 Å; angles 90.00, 90.00, 120.00 degrees
Space group P6_3/mcm (No. 193)
Symmetry-distinct sites (fractional):
Sr (0.0000, 0.0000, 0.0000)
Dy (0.0000, 0.3407, 0.2500)
Dy (0.3333, 0.6667, 0.0000)
Tl (0.0000, 0.3320, 0.7500)

What did the second record say?
Structure and theoretical powder X-ray diffraction pattern of SrDy5Tl3 (DFT lattice parameters and positions (GGA-PBE); copper Kα).

Largest 6 diffraction maxima, by intensity, 10 to 90 degrees two-theta:
- 32.9°, I = 100, (3 0 0)
- 32.2°, I = 86, (1 1 2)
- 58.3°, I = 32, (4 1 2)
- 46.7°, I = 31, (2 2 2)
- 64.0°, I = 30, (3 0 4)
- 42.3°, I = 20, (3 0 2)

Crystal structure
Cell lengths 9.4383, 9.4383, 6.8882 Å; angles 90.00, 90.00, 120.00 degrees
Space group P6_3/mcm (No. 193)
Symmetry-distinct sites (fractional):
Sr (0.0000, 0.0000, 0.0000)
Dy (0.0000, 0.3407, 0.2500)
Dy (0.3333, 0.6667, 0.0000)
Tl (0.0000, 0.3320, 0.7500)